Starting from a PBE-relaxed structure, the XRD peak list of La4Nd2ErSc was calculated for CuKα.
Peak positions follow from Bragg's law for the DFT cell and can differ from measured ones.

Peak list (12 most intense, 10 to 90 degrees two-theta, by angle)
30.13 deg, d = 2.966 Å, rel. 100, hkl 1 1 2
34.54 deg, d = 2.597 Å, rel. 17, hkl 0 2 0
34.76 deg, d = 2.581 Å, rel. 17, hkl 2 0 0
35.47 deg, d = 2.531 Å, rel. 16, hkl 0 0 4
49.81 deg, d = 1.831 Å, rel. 12, hkl 2 2 0
50.35 deg, d = 1.812 Å, rel. 12, hkl 0 2 4
50.51 deg, d = 1.807 Å, rel. 12, hkl 2 0 4
59.18 deg, d = 1.561 Å, rel. 15, hkl 1 3 2
59.47 deg, d = 1.554 Å, rel. 14, hkl 3 1 2
60.42 deg, d = 1.532 Å, rel. 14, hkl 1 1 6
62.64 deg, d = 1.483 Å, rel. 12, hkl 2 2 4
81.06 deg, d = 1.186 Å, rel. 6, hkl 3 3 2

Cell and atoms:
Cell lengths 5.1612, 5.1939, 10.1224 Å; angles 90.00, 90.00, 90.00 degrees
Space group Pmmm (No. 47)
Inequivalent atoms, fractional coordinates:
1 La 0.0000 0.0000 0.2461 [2 per cell]
2 La 0.5000 0.5000 0.2464 [2 per cell]
3 Nd 0.0000 0.5000 0.0000 [1 per cell]
4 Nd 0.5000 0.0000 0.5000 [1 per cell]
5 Er 0.0000 0.5000 0.5000 [1 per cell]
6 Sc 0.5000 0.0000 0.0000 [1 per cell]



Starting from a PBE-relaxed structure, the XRD peak list of HfZrTi2N4 was calculated for CuKα.
Peak positions follow from Bragg's law for the DFT cell and can differ from measured ones.

Peak list (12 most intense, 10 to 90 degrees two-theta, by angle)
17.27 deg, d = 5.134 Å, rel. 11, hkl 0 0 1
17.45 deg, d = 5.081 Å, rel. 45, hkl 1 0 0
33.47 deg, d = 2.678 Å, rel. 31, hkl 0 1 1
34.95 deg, d = 2.567 Å, rel. 29, hkl 0 0 2
35.07 deg, d = 2.559 Å, rel. 57, hkl 1 1 -1
35.33 deg, d = 2.541 Å, rel. 28, hkl 2 0 0
40.76 deg, d = 2.214 Å, rel. 100, hkl 1 1 1
58.75 deg, d = 1.572 Å, rel. 21, hkl 1 1 -3
58.92 deg, d = 1.567 Å, rel. 11, hkl 0 2 0
59.25 deg, d = 1.559 Å, rel. 21, hkl 3 1 -1
70.39 deg, d = 1.338 Å, rel. 16, hkl 1 1 3
70.87 deg, d = 1.330 Å, rel. 11, hkl 3 1 1

Cell and atoms:
Cell lengths 5.3931, 3.1348, 5.4496 Å; angles 90.00, 109.59, 90.00 degrees
Space group P2/m (No. 10)
Inequivalent atoms, fractional coordinates:
1 Hf 0.0000 0.0000 0.0000 [1 per cell]
2 Zr 0.0000 0.5000 0.5000 [1 per cell]
3 Ti 0.5000 0.0000 0.5000 [1 per cell]
4 Ti 0.5000 0.5000 0.0000 [1 per cell]
5 N 0.2606 0.5000 0.2484 [2 per cell]
6 N 0.2646 0.0000 0.7607 [2 per cell]



Starting from a PBE-relaxed structure, the XRD peak list of La2Te3 was calculated for CuKα.
Peak positions follow from Bragg's law for the DFT cell and can differ from measured ones.

Peak list (12 most intense, 10 to 90 degrees two-theta, by angle)
25.51 deg, d = 3.492 Å, rel. 60, hkl 1 1 2
25.92 deg, d = 3.438 Å, rel. 52, hkl 3 0 2
28.39 deg, d = 3.144 Å, rel. 78, hkl 2 1 2
29.57 deg, d = 3.021 Å, rel. 100, hkl 0 1 3
30.00 deg, d = 2.979 Å, rel. 70, hkl 3 1 1
30.44 deg, d = 2.936 Å, rel. 82, hkl 1 1 3
32.19 deg, d = 2.781 Å, rel. 46, hkl 4 0 2
32.67 deg, d = 2.741 Å, rel. 93, hkl 3 1 2
35.62 deg, d = 2.521 Å, rel. 59, hkl 4 1 1
36.33 deg, d = 2.473 Å, rel. 46, hkl 1 1 4
39.68 deg, d = 2.271 Å, rel. 87, hkl 0 2 0
60.07 deg, d = 1.540 Å, rel. 48, hkl 3 2 5

Cell and atoms:
Cell lengths 12.5165, 4.5427, 12.1324 Å; angles 90.00, 90.00, 90.00 degrees
Space group Pnma (No. 62)
Inequivalent atoms, fractional coordinates:
1 La 0.0120 0.2500 0.1867 [4 per cell]
2 La 0.1940 0.2500 0.5018 [4 per cell]
3 Te 0.0454 0.7500 0.3754 [4 per cell]
4 Te 0.1217 0.2500 0.9428 [4 per cell]
5 Te 0.2283 0.7500 0.7015 [4 per cell]



Starting from a PBE-relaxed structure, the XRD peak list of Th2Ni3P4Ru was calculated for CuKα.
Peak positions follow from Bragg's law for the DFT cell and can differ from measured ones.

Peak list (12 most intense, 10 to 90 degrees two-theta, by angle)
23.67 deg, d = 3.759 Å, rel. 37, hkl 1 0 1
30.72 deg, d = 2.911 Å, rel. 17, hkl 1 1 0
36.48 deg, d = 2.463 Å, rel. 100, hkl 1 1 2
43.99 deg, d = 2.058 Å, rel. 28, hkl 2 0 0
50.56 deg, d = 1.805 Å, rel. 11, hkl 2 1 1
54.49 deg, d = 1.684 Å, rel. 12, hkl 1 0 5
58.42 deg, d = 1.580 Å, rel. 23, hkl 2 1 3
60.25 deg, d = 1.536 Å, rel. 8, hkl 2 0 4
63.97 deg, d = 1.455 Å, rel. 9, hkl 2 2 0
69.07 deg, d = 1.360 Å, rel. 10, hkl 1 1 6
72.53 deg, d = 1.303 Å, rel. 10, hkl 2 1 5
75.95 deg, d = 1.253 Å, rel. 19, hkl 3 1 2

Cell and atoms:
Cell lengths 4.1164, 4.1164, 9.2277 Å; angles 90.00, 90.00, 90.00 degrees
Space group P-4m2 (No. 115)
Inequivalent atoms, fractional coordinates:
1 Th 0.0000 0.5000 0.2439 [2 per cell]
2 Ni 0.0000 0.5000 0.8871 [2 per cell]
3 Ni 0.5000 0.5000 0.5000 [1 per cell]
4 P 0.0000 0.0000 0.0000 [1 per cell]
5 P 0.0000 0.5000 0.6343 [2 per cell]
6 P 0.5000 0.5000 0.0000 [1 per cell]
7 Ru 0.0000 0.0000 0.5000 [1 per cell]



- Which formula does entry 3 have?
  La2Te3